Record 1
Y6O5F8: calculated powder diffraction line list (CuKα), based on a cell relaxed with PBE.
Neutral-atom scattering factors, no anomalous dispersion.

Peak list (10 most intense, 5 to 70 degrees two-theta, in order of rising 2θ)
Position (°2θ)  I (rel.)
27.5  100.0
30.6  12.4
32.5  7.9
39.6  10.1
45.2  33.1
46.6  19.7
52.6  15.2
54.9  20.2
56.8  6.1
68.0  4.6

Atomic structure:
Cell: 9.1759 9.1759 5.5210 Å, 90.00 90.00 145.03°
Element x y z (fractional)
Y 0.0000 0.5000 0.7983
Y 0.1438 0.3192 0.2123
Y 0.3192 0.1438 0.7877
Y 0.5000 0.0000 0.2017
Y 0.6808 0.8562 0.7877
Y 0.8562 0.6808 0.2123
O 0.0000 0.0000 0.0000
O 0.1704 0.8296 0.0000
O 0.3395 0.6605 0.0000
O 0.6605 0.3395 0.0000
O 0.8296 0.1704 0.0000
F 0.0000 0.0000 0.5000
F 0.1461 0.8539 0.5000
F 0.2887 0.7113 0.5000
F 0.4305 0.5695 0.5000
F 0.5000 0.5000 0.0000
F 0.5695 0.4305 0.5000
F 0.7113 0.2887 0.5000
F 0.8539 0.1461 0.5000


Record 2
Y7O6F9: calculated powder diffraction line list (CuKα), based on a cell relaxed with PBE.
Neutral-atom scattering factors, no anomalous dispersion.

Peak list (10 most intense, 5 to 70 degrees two-theta, in order of rising 2θ)
Position (°2θ)  I (rel.)
27.7  100.0
30.6  10.0
32.1  9.9
32.4  8.2
45.8  16.4
46.0  16.5
46.3  18.9
49.7  6.3
54.5  13.8
55.0  13.1

Atomic structure:
Cell: 5.5197 19.9146 19.9146 Å, 163.89 90.00 90.00°
Element x y z (fractional)
Y 0.1986 0.0997 0.9003
Y 0.1986 0.4003 0.5997
Y 0.2337 0.6527 0.3148
Y 0.2337 0.8148 0.1527
Y 0.2369 0.5048 0.4470
Y 0.2369 0.9470 0.0048
Y 0.2419 0.1571 0.6571
Y 0.7581 0.6571 0.1571
Y 0.7631 0.0048 0.9470
Y 0.7631 0.4470 0.5048
Y 0.7663 0.1527 0.8148
Y 0.7663 0.3148 0.6527
Y 0.8014 0.5997 0.4003
Y 0.8014 0.9003 0.0997
O 0.0000 0.2293 0.2293
O 0.0000 0.7293 0.7293
O 0.0233 0.1125 0.3973
O 0.0233 0.8973 0.6125
O 0.0380 0.1480 0.2875
O 0.0380 0.7875 0.6480
O 0.5000 0.2159 0.2159
O 0.5000 0.7159 0.7159
O 0.9620 0.2875 0.1480
O 0.9620 0.6480 0.7875
O 0.9767 0.3973 0.1125
O 0.9767 0.6125 0.8973
F 0.0459 0.4074 0.9763
F 0.0459 0.4763 0.9074
F 0.3703 0.7799 0.2799
F 0.4036 0.0388 0.6408
F 0.4036 0.1408 0.5388
F 0.4536 0.4053 0.2501
F 0.4536 0.7501 0.9053
F 0.4620 0.3119 0.0278
F 0.4620 0.5278 0.8119
F 0.5380 0.0278 0.3119
F 0.5380 0.8119 0.5278
F 0.5464 0.2501 0.4053
F 0.5464 0.9053 0.7501
F 0.5964 0.5388 0.1408
F 0.5964 0.6408 0.0388
F 0.6297 0.2799 0.7799
F 0.9541 0.9074 0.4763
F 0.9541 0.9763 0.4074


Record 3
Y5O4F7: calculated powder diffraction line list (CuKα), based on a cell relaxed with PBE.
Neutral-atom scattering factors, no anomalous dispersion.

Peak list (10 most intense, 5 to 70 degrees two-theta, in order of rising 2θ)
Position (°2θ)  I (rel.)
27.8  100.0
31.9  12.5
32.0  12.5
40.0  13.9
45.8  20.6
46.3  24.2
46.5  9.2
54.3  14.0
54.5  16.5
55.4  11.2

Atomic structure:
Cell: 14.2767 14.2767 5.4723 Å, 90.16 90.16 22.70°
Element x y z (fractional)
Y 0.0495 0.0495 0.2071
Y 0.1213 0.1734 0.7885
Y 0.2753 0.2262 0.2236
Y 0.2992 0.4045 0.7903
Y 0.4539 0.4460 0.2032
Y 0.5540 0.5461 0.7968
Y 0.5955 0.7008 0.2097
Y 0.7738 0.7247 0.7764
Y 0.8266 0.8787 0.2115
Y 0.9505 0.9505 0.7929
O 0.0429 0.5522 0.0379
O 0.1220 0.6774 0.0230
O 0.2649 0.7351 0.0000
O 0.3226 0.8780 0.9770
O 0.4478 0.9571 0.9621
O 0.6193 0.1749 0.9715
O 0.7639 0.2361 0.0000
O 0.8251 0.3807 0.0285
F 0.1388 0.8612 0.5000
F 0.1438 0.3546 0.6103
F 0.2454 0.5781 0.5383
F 0.2646 0.0803 0.4088
F 0.4219 0.7546 0.4617
F 0.4329 0.2203 0.4084
F 0.5456 0.0543 0.9518
F 0.6362 0.3638 0.5000
F 0.6454 0.8562 0.3897
F 0.7554 0.0728 0.4495
F 0.7797 0.5671 0.5916
F 0.9197 0.7354 0.5912
F 0.9272 0.2446 0.5505
F 0.9457 0.4544 0.0482